Diffraction record for BaSrLaWO6. The powder diffraction line list is calculated, not measured: it uses a crystal structure in Alexandria, relaxed with GGA+U and Cu Ka.
Kinematic intensities with the Lorentz-polarization factor, no thermal factor.

```
BaSrLaWO6
1.0
6.0677 0.0000 0.0000
0.0003 6.1087 0.0000
0.0806 0.0321 8.6734
Ba Sr La W O
2 2 2 2 12
Direct
0.0039 0.0291 0.2519 Ba
0.9961 0.9709 0.7481 Ba
0.4978 0.5354 0.2462 Sr
0.5022 0.4646 0.7538 Sr
0.0000 0.5000 0.0000 La
0.5000 0.0000 0.5000 La
0.0000 0.5000 0.5000 W
0.5000 0.0000 0.0000 W
0.0852 0.5014 0.7302 O
0.1924 0.7713 0.4667 O
0.2359 0.8170 0.0258 O
0.2625 0.3187 0.4533 O
0.3167 0.2792 0.0472 O
0.4371 0.0435 0.7690 O
0.5629 0.9565 0.2310 O
0.6833 0.7208 0.9528 O
0.7375 0.6813 0.5467 O
0.7641 0.1830 0.9742 O
0.8076 0.2287 0.5333 O
0.9148 0.4986 0.2698 O
```

Top 10 peaks for 10° ≤ 2θ ≤ 80°, low angle first:
d_spacing	Position (°2θ)	I_rel
3.065	29.1	100
3.052	29.3	99
3.037	29.4	96
2.168	41.7	27
2.152	42.0	50
1.772	51.6	23
1.766	51.8	20
1.763	51.9	30
1.760	52.0	20
1.750	52.3	23